1.
Simulated powder diffractogram
Compound: In4RuRh3
Radiation: Cu Kα, 1.54184 Å
Structure: a crystal structure in Alexandria, relaxed with GGA-PBE
Neutral-atom scattering factors, no anomalous dispersion.

Cell and atoms:
```
8
Lattice="3.2386 0.0000 0.0000 0.0000 3.2386 0.0000 0.0000 0.0000 12.8879" Properties=species:S:1:pos:R:3 pbc="T T T"
In 0.0000 0.0000 1.5778
In 0.0000 0.0000 4.8187
In 0.0000 0.0000 8.0693
In 0.0000 0.0000 11.3101
Ru 1.6193 1.6193 0.0000
Rh 1.6193 1.6193 3.2398
Rh 1.6193 1.6193 6.4440
Rh 1.6193 1.6193 9.6482
```

Main lines, by intensity (2θ = 10–80°):
d = 2.284 Å, 39.45°, rel. 100; d = 2.290 Å, 39.34°, rel. 50; d = 1.321 Å, 71.41°, rel. 33; d = 1.619 Å, 56.86°, rel. 17; d = 1.318 Å, 71.62°, rel. 16; d = 1.611 Å, 57.18°, rel. 8

---

2.
Simulated powder diffractogram
Compound: LiNd5Se8
Radiation: Cu Kα, 1.54184 Å
Structure: a crystal structure in Alexandria, relaxed with GGA-PBE
Neutral-atom scattering factors, no anomalous dispersion.

Cell and atoms:
```
14
Lattice="-4.4409 4.4409 4.4965 4.4409 -4.4409 4.4965 4.4409 4.4409 -4.4965" Properties=species:S:1:pos:R:3 pbc="T T T"
Li 0.0000 0.0000 0.0000
Nd 5.5747 2.1916 -1.1537
Nd 4.4409 0.0000 2.2483
Nd 2.1916 3.3071 1.1537
Nd -1.1338 2.2493 3.3428
Nd 2.2493 1.1338 5.6502
Se 2.8280 0.6422 -0.4171
Se 2.8507 3.7718 -1.7077
Se 3.7987 -1.6129 4.9136
Se 1.5902 0.6691 2.7888
Se 5.1100 2.8507 1.7077
Se 0.6422 6.0538 0.4171
Se -0.6691 1.5902 6.2042
Se 1.6129 3.7987 4.0795
```

Main lines, by intensity (2θ = 10–80°):
d = 2.810 Å, 31.84°, rel. 100; d = 2.393 Å, 37.59°, rel. 44; d = 2.840 Å, 31.50°, rel. 42; d = 2.376 Å, 37.87°, rel. 32; d = 6.305 Å, 14.05°, rel. 21; d = 1.442 Å, 64.64°, rel. 21; d = 2.382 Å, 37.76°, rel. 20; d = 3.633 Å, 24.50°, rel. 18; d = 1.903 Å, 47.79°, rel. 16; d = 3.656 Å, 24.35°, rel. 14

---

3.
Simulated powder diffractogram
Compound: KPd2F11
Radiation: Cu Kα, 1.54184 Å
Structure: a crystal structure in Alexandria, relaxed with GGA-PBE
Neutral-atom scattering factors, no anomalous dispersion.

Cell and atoms:
```
28
Lattice="-4.6968 4.7815 5.4936 4.6968 -4.7815 5.4936 4.6968 4.7815 -5.4936" Properties=species:S:1:pos:R:3 pbc="T T T"
K 0.0000 0.0000 2.7468
K 0.0000 0.0000 8.2403
Pd 6.0689 1.4832 0.0000
Pd 1.3720 3.2983 0.0000
Pd 3.3248 1.4832 5.4936
Pd -1.3720 3.2983 5.4936
F 4.6968 0.0000 0.0000
F 2.3340 -0.5621 1.3465
F 5.0747 -2.3966 4.1460
F 5.0747 2.3966 -1.3476
F 7.0597 0.5621 1.3465
F 2.6351 1.9113 0.0000
F 2.6351 -1.9113 5.4936
F 2.3628 4.2194 -1.3465
F 0.3779 2.3849 1.3476
F 5.0747 2.3966 1.3476
F 2.3340 0.5621 4.1470
F 0.0000 4.7815 0.0000
F 2.3628 4.2194 1.3465
F -0.3779 2.3849 4.1460
F 4.3190 2.3966 4.1460
F 2.3340 0.5621 6.8401
F 2.0618 6.6928 0.0000
F 2.0618 2.8702 5.4936
F -2.3628 4.2194 4.1470
F -0.3779 2.3849 6.8412
F -0.3779 7.1782 1.3476
F 2.3628 5.3436 4.1470
```

Main lines, by intensity (2θ = 10–80°):
d = 3.936 Å, 22.59°, rel. 100; d = 5.494 Å, 16.13°, rel. 93; d = 3.973 Å, 22.38°, rel. 91; d = 4.248 Å, 20.91°, rel. 67; d = 2.069 Å, 43.75°, rel. 36; d = 2.124 Å, 42.56°, rel. 28; d = 3.607 Å, 24.68°, rel. 21; d = 2.765 Å, 32.38°, rel. 20; d = 3.019 Å, 29.59°, rel. 17; d = 1.595 Å, 57.83°, rel. 16

---

4.
Simulated powder diffractogram
Compound: LiZnNi4
Radiation: Cu Kα, 1.54184 Å
Structure: a crystal structure in Alexandria, relaxed with GGA-PBE
Neutral-atom scattering factors, no anomalous dispersion.

Cell and atoms:
```
12
Lattice="0.0000 3.6055 7.5502 2.5016 0.0000 7.5502 2.5016 3.6055 0.0000" Properties=species:S:1:pos:R:3 pbc="T T T"
Li 0.6254 0.9014 1.8875
Li 4.3779 6.3097 13.2128
Zn 1.8762 2.7041 5.6626
Zn 3.1270 4.5069 9.4377
Ni 1.8762 2.7041 0.6106
Ni 1.8762 2.7041 3.1739
Ni 3.1270 4.5069 4.3857
Ni 3.1270 4.5069 6.9490
Ni 1.8762 2.7041 8.1514
Ni 1.8762 2.7041 10.7147
Ni 3.1270 4.5069 11.9265
Ni 3.1270 4.5069 14.4898
```

Main lines, by intensity (2θ = 10–80°):
d = 2.064 Å, 43.87°, rel. 100; d = 2.055 Å, 44.06°, rel. 99; d = 1.774 Å, 51.51°, rel. 61; d = 1.803 Å, 50.63°, rel. 36; d = 1.265 Å, 75.13°, rel. 36; d = 3.966 Å, 22.42°, rel. 24; d = 3.184 Å, 28.03°, rel. 13; d = 3.775 Å, 23.57°, rel. 9; d = 1.258 Å, 75.56°, rel. 9; d = 1.251 Å, 76.10°, rel. 9

---

> Number 3 is which compound?

KPd2F11

---

What did the third record say?
Simulated powder diffractogram
Compound: KPd2F11
Radiation: Cu Kα, 1.54184 Å
Structure: a crystal structure in Alexandria, relaxed with GGA-PBE
Neutral-atom scattering factors, no anomalous dispersion.

Cell and atoms:
```
28
Lattice="-4.6968 4.7815 5.4936 4.6968 -4.7815 5.4936 4.6968 4.7815 -5.4936" Properties=species:S:1:pos:R:3 pbc="T T T"
K 0.0000 0.0000 2.7468
K 0.0000 0.0000 8.2403
Pd 6.0689 1.4832 0.0000
Pd 1.3720 3.2983 0.0000
Pd 3.3248 1.4832 5.4936
Pd -1.3720 3.2983 5.4936
F 4.6968 0.0000 0.0000
F 2.3340 -0.5621 1.3465
F 5.0747 -2.3966 4.1460
F 5.0747 2.3966 -1.3476
F 7.0597 0.5621 1.3465
F 2.6351 1.9113 0.0000
F 2.6351 -1.9113 5.4936
F 2.3628 4.2194 -1.3465
F 0.3779 2.3849 1.3476
F 5.0747 2.3966 1.3476
F 2.3340 0.5621 4.1470
F 0.0000 4.7815 0.0000
F 2.3628 4.2194 1.3465
F -0.3779 2.3849 4.1460
F 4.3190 2.3966 4.1460
F 2.3340 0.5621 6.8401
F 2.0618 6.6928 0.0000
F 2.0618 2.8702 5.4936
F -2.3628 4.2194 4.1470
F -0.3779 2.3849 6.8412
F -0.3779 7.1782 1.3476
F 2.3628 5.3436 4.1470
```

Main lines, by intensity (2θ = 10–80°):
d = 3.936 Å, 22.59°, rel. 100; d = 5.494 Å, 16.13°, rel. 93; d = 3.973 Å, 22.38°, rel. 91; d = 4.248 Å, 20.91°, rel. 67; d = 2.069 Å, 43.75°, rel. 36; d = 2.124 Å, 42.56°, rel. 28; d = 3.607 Å, 24.68°, rel. 21; d = 2.765 Å, 32.38°, rel. 20; d = 3.019 Å, 29.59°, rel. 17; d = 1.595 Å, 57.83°, rel. 16